[1]
Structure and simulated XRD peak list of K2CaZrH16C8O24 (DFT lattice parameters and positions (GGA-PBE); copper Kα).
Kinematic intensities with the Lorentz-polarization factor, no thermal factor.

abc: 9.2971 9.2971 9.2971
angles: 103.82 103.82 121.47
Element x y z (fractional)
K1 0.0000 0.0000 0.0000
K2 0.7500 0.2500 0.5000
Ca1 0.2500 0.7500 0.5000
Zr1 0.5000 0.5000 0.0000
H1 0.0214 0.0899 0.3925
H2 0.0254 0.1627 0.6600
H3 0.0479 0.6258 0.8956
H4 0.1117 0.2694 0.3620
H5 0.2502 0.8883 0.1577
H6 0.3711 0.9786 0.0686
H7 0.3742 0.2698 0.4221
H8 0.5027 0.3653 0.3400
H9 0.6347 0.9746 0.1373
H10 0.6975 0.6289 0.6075
H11 0.7302 0.1523 0.1044
H12 0.7306 0.0925 0.8423
H13 0.8373 0.4973 0.8627
H14 0.8477 0.9521 0.5779
H15 0.9075 0.7498 0.6380
H16 0.9101 0.3025 0.9314
C1 0.2698 0.5314 0.7250
C2 0.3009 0.0821 0.7753
C3 0.3068 0.5256 0.2247
C4 0.4552 0.7302 0.2617
C5 0.4686 0.1935 0.7383
C6 0.4744 0.6991 0.7812
C7 0.8065 0.5448 0.2750
C8 0.9179 0.6932 0.2188
O1 0.0930 0.7928 0.2850
O2 0.1044 0.1572 0.3452
O3 0.1429 0.5054 0.6121
O4 0.1920 0.9070 0.6998
O5 0.2072 0.4922 0.3002
O6 0.2408 0.8956 0.0528
O7 0.2507 0.4297 0.8039
O8 0.2893 0.1845 0.8844
O9 0.3001 0.4050 0.1156
O10 0.4692 0.8571 0.3624
O11 0.4947 0.1068 0.6376
O12 0.5065 0.3555 0.4434
O13 0.5078 0.8080 0.7150
O14 0.5532 0.7493 0.1791
O15 0.5703 0.3742 0.8209
O16 0.5950 0.7107 0.8951
O17 0.6258 0.4468 0.1961
O18 0.6445 0.0879 0.1510
O19 0.8120 0.7592 0.6548
O20 0.8155 0.6999 0.1049
O21 0.8428 0.1880 0.9472
O22 0.8932 0.5308 0.3879
O23 0.9121 0.0631 0.5566
O24 0.9369 0.4935 0.8490

Peak list (6 most intense, 5° ≤ 2θ ≤ 70°, low angle first)
2θ (°), Rel. int.
12.43, 89
15.45, 100
22.42, 48
25.27, 74
31.19, 43
44.96, 44



[2]
Structure and simulated XRD peak list of CaMg5P3HCO16 (DFT lattice parameters and positions (GGA-PBE); copper Kα).
Kinematic intensities with the Lorentz-polarization factor, no thermal factor.

abc: 6.3857 8.7736 10.9331
angles: 94.93 100.99 93.16
Element x y z (fractional)
Ca1 0.1225 0.3177 0.0617
Ca2 0.8775 0.6823 0.9383
Mg1 0.0905 0.8187 0.6697
Mg2 0.3108 0.0360 0.9004
Mg3 0.3253 0.8638 0.4523
Mg4 0.3262 0.5270 0.6135
Mg5 0.4135 0.6477 0.1827
Mg6 0.5865 0.3523 0.8173
Mg7 0.6738 0.4730 0.3865
Mg8 0.6747 0.1362 0.5477
Mg9 0.6892 0.9640 0.0996
Mg10 0.9095 0.1813 0.3303
P1 0.2005 0.9673 0.1702
P2 0.2147 0.1568 0.6088
P3 0.3694 0.6695 0.9254
P4 0.6306 0.3305 0.0746
P5 0.7853 0.8432 0.3912
P6 0.7995 0.0327 0.8298
H1 0.4908 0.2116 0.3362
H2 0.5092 0.7884 0.6638
C1 0.1525 0.4824 0.3364
C2 0.8475 0.5176 0.6636
O1 0.0095 0.1106 0.9122
O2 0.0116 0.8239 0.4672
O3 0.0201 0.5824 0.6383
O4 0.1569 0.5185 0.2253
O5 0.1620 0.1232 0.2385
O6 0.2065 0.0468 0.7111
O7 0.2192 0.5792 0.9958
O8 0.2395 0.7956 0.8628
O9 0.2965 0.8498 0.2620
O10 0.3235 0.5073 0.4223
O11 0.3250 0.3146 0.6713
O12 0.3487 0.0898 0.5161
O13 0.3671 0.0033 0.0881
O14 0.3692 0.7549 0.6124
O15 0.4388 0.2668 0.9651
O16 0.4633 0.5719 0.8275
O17 0.5367 0.4281 0.1725
O18 0.5612 0.7332 0.0349
O19 0.6308 0.2451 0.3876
O20 0.6329 0.9967 0.9119
O21 0.6513 0.9102 0.4839
O22 0.6750 0.6854 0.3287
O23 0.6765 0.4927 0.5777
O24 0.7035 0.1502 0.7380
O25 0.7605 0.2044 0.1372
O26 0.7808 0.4208 0.0042
O27 0.7935 0.9532 0.2889
O28 0.8380 0.8768 0.7615
O29 0.8431 0.4815 0.7747
O30 0.9799 0.4176 0.3617
O31 0.9884 0.1761 0.5328
O32 0.9905 0.8894 0.0878

Peak list (6 most intense, 5° ≤ 2θ ≤ 70°, low angle first)
2θ (°), Rel. int.
23.95, 38
30.82, 82
31.09, 88
31.75, 61
32.73, 100
34.05, 44